[1]
Starting from a cell relaxed with GGA-PBE, the powder diffractogram of Li2EuGeS4 was computed for Cu Kα.
Intensities are scaled so that the largest is 100.

Peak list (6 most intense, 10 to 80 degrees two-theta, by angle)
19.10°, I = 100, hkl 1 1 0
30.10°, I = 80, hkl 1 1 2
32.60°, I = 26, hkl 2 1 1
35.89°, I = 56, hkl 2 0 2
38.75°, I = 32, hkl 2 2 0
49.83°, I = 41, hkl 3 1 2

Structural model:
```
data_Li2EuGeS4
_symmetry_space_group_name_H-M 'I -4 2 m'
_symmetry_Int_Tables_number 121
_symmetry_space_group_name_Hall 'I -4 2'
_cell_length_a 6.572
_cell_length_b 6.572
_cell_length_c 7.720
_cell_angle_alpha 90.00
_cell_angle_beta 90.00
_cell_angle_gamma 90.00
loop_
_atom_site_label
_atom_site_fract_x
_atom_site_fract_y
_atom_site_fract_z
Li1 0.000 0.500 0.250
Eu1 0.000 0.000 0.000
Ge1 0.000 0.000 0.500
S1 0.199 0.199 0.334
```



[2]
Starting from a cell relaxed with GGA-PBE, the powder diffractogram of MoC was computed for Cu Kα.
Intensities are scaled so that the largest is 100.

Peak list (6 most intense, 10 to 80 degrees two-theta, by angle)
32.77°, I = 54, hkl 0 0 4
34.61°, I = 40, hkl 1 0 0
35.60°, I = 100, hkl 1 0 1
42.82°, I = 94, hkl 1 0 3
48.40°, I = 36, hkl 1 0 4
62.02°, I = 36, hkl 1 1 0

Structural model:
```
data_MoC
_symmetry_space_group_name_H-M 'P 63/m m c'
_symmetry_Int_Tables_number 194
_symmetry_space_group_name_Hall '-P 6c 2c'
_cell_length_a 2.9930
_cell_length_b 2.9930
_cell_length_c 10.9303
_cell_angle_alpha 90.00
_cell_angle_beta 90.00
_cell_angle_gamma 120.00
loop_
_atom_site_label
_atom_site_fract_x
_atom_site_fract_y
_atom_site_fract_z
Mo1 0.3333 0.6667 0.1212
C1 0.0000 0.0000 0.0000
C2 0.3333 0.6667 0.7500
```



[3]
Starting from a cell relaxed with GGA-PBE, the powder diffractogram of SbPt3 was computed for Cu Kα.
Intensities are scaled so that the largest is 100.

Peak list (6 most intense, 10 to 80 degrees two-theta, by angle)
38.02°, I = 100, hkl 1 1 4
41.93°, I = 17, hkl 0 0 8
45.28°, I = 32, hkl 2 0 0
63.41°, I = 21, hkl 2 0 8
73.99°, I = 11, hkl 1 1 12
78.76°, I = 25, hkl 3 1 4

Structural model:
```
data_SbPt3
_symmetry_space_group_name_H-M 'I 4/m m m'
_symmetry_Int_Tables_number 139
_symmetry_space_group_name_Hall '-I 4 2'
_cell_length_a 4.005
_cell_length_b 4.005
_cell_length_c 17.237
_cell_angle_alpha 90.00
_cell_angle_beta 90.00
_cell_angle_gamma 90.00
loop_
_atom_site_label
_atom_site_fract_x
_atom_site_fract_y
_atom_site_fract_z
Sb1 0.000 0.000 0.136
Pt1 0.000 0.000 0.386
Pt2 0.000 0.500 0.000
Pt3 0.000 0.500 0.250
```



[4]
Starting from a cell relaxed with GGA-PBE, the powder diffractogram of PPb was computed for Cu Kα.
Intensities are scaled so that the largest is 100.

Peak list (6 most intense, 10 to 80 degrees two-theta, by angle)
22.20°, I = 27, hkl 1 1 0
25.53°, I = 36, hkl 1 1 1
26.77°, I = 29, hkl 1 1 -3
30.48°, I = 100, hkl 0 0 4
30.91°, I = 40, hkl 2 0 -2
32.09°, I = 25, hkl 1 1 -4

Structural model:
```
data_PPb
_symmetry_space_group_name_H-M 'P 1 21/c 1'
_symmetry_Int_Tables_number 14
_symmetry_space_group_name_Hall '-P 2ybc'
_cell_length_a 5.800
_cell_length_b 6.061
_cell_length_c 12.752
_cell_angle_alpha 90.00
_cell_angle_beta 113.08
_cell_angle_gamma 90.00
loop_
_atom_site_label
_atom_site_fract_x
_atom_site_fract_y
_atom_site_fract_z
P1 0.176 0.152 0.421
P2 0.316 0.157 0.079
Pb1 0.140 0.631 0.365
Pb2 0.371 0.638 0.135
```



[5]
Starting from a cell relaxed with GGA-PBE, the powder diffractogram of CaHfMg14 was computed for Cu Kα.
Intensities are scaled so that the largest is 100.

Peak list (6 most intense, 10 to 80 degrees two-theta, by angle)
15.67°, I = 27, hkl 0 1 1
17.88°, I = 38, hkl 1 1 1
18.01°, I = 29, hkl 1 0 2
34.74°, I = 35, hkl 4 0 0
36.22°, I = 100, hkl 2 2 2
36.49°, I = 45, hkl 2 0 4

Structural model:
```
data_CaHfMg14
_symmetry_space_group_name_H-M 'A m m 2'
_symmetry_Int_Tables_number 38
_symmetry_space_group_name_Hall 'A 2 -2'
_cell_length_a 10.328
_cell_length_b 6.551
_cell_length_c 11.205
_cell_angle_alpha 90.00
_cell_angle_beta 90.00
_cell_angle_gamma 90.00
loop_
_atom_site_label
_atom_site_fract_x
_atom_site_fract_y
_atom_site_fract_z
Ca1 0.000 0.000 0.000
Hf1 0.000 0.000 0.492
Mg1 0.000 0.248 0.752
Mg2 0.246 0.000 0.665
Mg3 0.254 0.243 0.417
Mg4 0.255 0.000 0.171
Mg5 0.500 0.000 0.000
Mg6 0.500 0.000 0.501
Mg7 0.500 0.249 0.750
```